For Cu4WS4Cl4, DFT lattice parameters and positions (GGA-PBE) gives the computed powder diffractogram in this record (λ = 1.5418 Å (Cu Kα)).
Intensities are scaled so that the largest is 100.

Structural model:
Cell lengths 10.3139, 10.3139, 10.3139 Å; angles 95.06, 95.06, 145.46 degrees
Fractional coordinates of all 26 atoms:
Cu 0.0000 0.3772 0.3772
Cu 0.0000 0.6228 0.6228
Cu 0.3697 0.3697 0.7394
Cu 0.3697 0.6303 0.0000
Cu 0.3772 0.0000 0.3772
Cu 0.6228 0.0000 0.6228
Cu 0.6303 0.3697 0.0000
Cu 0.6303 0.6303 0.2606
W 0.0000 0.0000 0.0000
W 0.5000 0.5000 0.0000
S 0.1018 0.2495 0.8523
S 0.2495 0.1018 0.8523
S 0.2495 0.3972 0.1477
S 0.3972 0.2495 0.1477
S 0.6028 0.7505 0.8523
S 0.7505 0.6028 0.8523
S 0.7505 0.8982 0.1477
S 0.8982 0.7505 0.1477
Cl 0.1276 0.6276 0.2553
Cl 0.1276 0.8724 0.5000
Cl 0.3724 0.6276 0.5000
Cl 0.3724 0.8724 0.7447
Cl 0.6276 0.1276 0.2553
Cl 0.6276 0.3724 0.5000
Cl 0.8724 0.1276 0.5000
Cl 0.8724 0.3724 0.7447

Most intense lines, 2θ = 5–70°, in order of rising 2θ:
2θ/deg  I/Imax
8.98  53
12.71  100
20.16  18
24.05  26
32.79  14
35.40  14
40.27  39
48.32  35
52.56  13
55.47  11